No. 1
Structure and calculated powder XRD pattern of Cd3Co2C12N12 (DFT lattice parameters and positions (GGA-PBE); Cu Kα).
Lines closer than 0.1° are merged.

Structure:
Unit cell a=7.598 b=7.598 c=10.638 alpha=90.00 beta=90.00 gamma=90.00
Element x y z (fractional)
Cd1 0.000 0.000 0.000
Cd2 0.000 0.500 0.252
Cd3 0.500 0.000 0.748
Co1 0.000 0.500 0.750
Co2 0.500 0.000 0.250
C1 0.000 0.500 0.573
C2 0.000 0.500 0.924
C3 0.169 0.322 0.757
C4 0.169 0.678 0.757
C5 0.322 0.169 0.243
C6 0.322 0.831 0.243
C7 0.500 0.000 0.076
C8 0.500 0.000 0.427
C9 0.678 0.169 0.243
C10 0.678 0.831 0.243
C11 0.831 0.322 0.757
C12 0.831 0.678 0.757
N1 0.000 0.500 0.033
N2 0.000 0.500 0.463
N3 0.205 0.267 0.228
N4 0.205 0.733 0.228
N5 0.267 0.205 0.772
N6 0.267 0.795 0.772
N7 0.500 0.000 0.537
N8 0.500 0.000 0.967
N9 0.733 0.205 0.772
N10 0.733 0.795 0.772
N11 0.795 0.267 0.228
N12 0.795 0.733 0.228

Largest 10 diffraction maxima, in order of rising 2θ, 2θ from 10° to 90°:
| 2θ/deg | Rel. int. |
| --- | --- |
| 14.33 | 33 |
| 16.50 | 100 |
| 16.67 | 48 |
| 23.42 | 51 |
| 23.54 | 99 |
| 33.36 | 56 |
| 37.47 | 28 |
| 41.23 | 33 |
| 48.15 | 27 |
| 54.00 | 29 |

No. 2
Structure and calculated powder XRD pattern of Ac2CrGaS6 (DFT lattice parameters and positions (GGA-PBE); Cu Kα).
Lines closer than 0.1° are merged.

Structure:
Unit cell a=6.608 b=7.008 c=11.569 alpha=90.00 beta=124.75 gamma=90.00
Element x y z (fractional)
Ac1 0.225 0.088 0.251
Ac2 0.225 0.412 0.751
Ac3 0.775 0.588 0.249
Ac4 0.775 0.912 0.749
Cr1 0.000 0.000 0.500
Cr2 0.000 0.500 0.000
Ga1 0.500 0.000 0.000
Ga2 0.500 0.500 0.500
S1 0.149 0.198 0.958
S2 0.149 0.302 0.458
S3 0.259 0.691 0.959
S4 0.259 0.809 0.459
S5 0.333 0.502 0.248
S6 0.333 0.998 0.748
S7 0.667 0.002 0.252
S8 0.667 0.498 0.752
S9 0.741 0.191 0.541
S10 0.741 0.309 0.041
S11 0.851 0.698 0.542
S12 0.851 0.802 0.042

Largest 10 diffraction maxima, in order of rising 2θ, 2θ from 10° to 90°:
| 2θ/deg | Rel. int. |
| --- | --- |
| 18.45 | 23 |
| 20.70 | 46 |
| 26.37 | 100 |
| 26.98 | 29 |
| 27.12 | 36 |
| 33.02 | 26 |
| 37.86 | 26 |
| 38.63 | 31 |
| 42.12 | 33 |
| 47.30 | 28 |

No. 3
Structure and calculated powder XRD pattern of Pr2AlGaPt2 (DFT lattice parameters and positions (GGA-PBE); Cu Kα).
Lines closer than 0.1° are merged.

Structure:
Unit cell a=8.180 b=8.180 c=8.180 alpha=135.74 beta=64.49 gamma=135.60
Element x y z (fractional)
Pr1 0.171 0.245 0.416
Pr2 0.329 0.745 0.073
Pr3 0.671 0.255 0.927
Pr4 0.829 0.755 0.584
Al1 0.250 0.750 0.500
Al2 0.750 0.250 0.500
Ga1 0.250 0.250 0.000
Ga2 0.750 0.750 0.000
Pt1 0.106 0.742 0.848
Pt2 0.394 0.242 0.635
Pt3 0.606 0.758 0.365
Pt4 0.894 0.258 0.152

Largest 10 diffraction maxima, in order of rising 2θ, 2θ from 10° to 90°:
| 2θ/deg | Rel. int. |
| --- | --- |
| 25.75 | 26 |
| 28.93 | 100 |
| 33.04 | 86 |
| 39.11 | 88 |
| 41.37 | 71 |
| 44.43 | 23 |
| 53.89 | 21 |
| 53.99 | 21 |
| 57.30 | 25 |
| 73.10 | 24 |

No. 4
Structure and calculated powder XRD pattern of ZrRhW (DFT lattice parameters and positions (GGA-PBE); Cu Kα).
Lines closer than 0.1° are merged.

Structure:
Unit cell a=4.538 b=15.042 c=3.084 alpha=90.00 beta=90.00 gamma=90.00
Element x y z (fractional)
Zr1 0.000 0.170 0.000
Zr2 0.000 0.830 0.000
Zr3 0.500 0.330 0.000
Zr4 0.500 0.670 0.000
Rh1 0.000 0.352 0.500
Rh2 0.000 0.648 0.500
Rh3 0.500 0.148 0.500
Rh4 0.500 0.852 0.500
W1 0.000 0.000 0.500
W2 0.000 0.500 0.000
W3 0.500 0.000 0.000
W4 0.500 0.500 0.500

Largest 10 diffraction maxima, in order of rising 2θ, 2θ from 10° to 90°:
| 2θ/deg | Rel. int. |
| --- | --- |
| 11.77 | 25 |
| 35.82 | 25 |
| 39.66 | 100 |
| 46.70 | 8 |
| 54.55 | 14 |
| 66.94 | 13 |
| 71.88 | 6 |
| 72.05 | 15 |
| 74.38 | 6 |
| 85.41 | 8 |

No. 5
Structure and calculated powder XRD pattern of Na2Zn3SiAs4 (DFT lattice parameters and positions (GGA-PBE); Cu Kα).
Lines closer than 0.1° are merged.

Structure:
Unit cell a=8.527 b=8.527 c=7.079 alpha=114.37 beta=114.37 gamma=27.98
Element x y z (fractional)
Na1 0.000 0.000 0.000
Na2 0.505 0.505 0.496
Zn1 0.326 0.326 0.634
Zn2 0.708 0.708 0.378
Zn3 0.832 0.832 0.172
Si1 0.196 0.196 0.847
As1 0.141 0.141 0.471
As2 0.357 0.357 0.013
As3 0.643 0.643 0.965
As4 0.883 0.883 0.547

Largest 10 diffraction maxima, in order of rising 2θ, 2θ from 10° to 90°:
| 2θ/deg | Rel. int. |
| --- | --- |
| 11.82 | 87 |
| 23.76 | 40 |
| 25.00 | 56 |
| 25.16 | 30 |
| 27.75 | 60 |
| 27.85 | 33 |
| 34.80 | 81 |
| 43.93 | 43 |
| 44.24 | 100 |
| 44.34 | 74 |

No. 6
Structure and calculated powder XRD pattern of NbN4 (DFT lattice parameters and positions (GGA-PBE); Cu Kα).
Lines closer than 0.1° are merged.

Structure:
Unit cell a=4.139 b=4.139 c=4.139 alpha=90.00 beta=90.00 gamma=90.00
Element x y z (fractional)
Nb1 0.000 0.000 0.000
N1 0.000 0.000 0.500
N2 0.000 0.500 0.000
N3 0.500 0.000 0.000
N4 0.500 0.500 0.500

Largest 10 diffraction maxima, in order of rising 2θ, 2θ from 10° to 90°:
| 2θ/deg | Rel. int. |
| --- | --- |
| 21.47 | 100 |
| 30.54 | 81 |
| 43.74 | 34 |
| 49.22 | 41 |
| 54.28 | 31 |
| 63.57 | 19 |
| 67.93 | 19 |
| 72.16 | 13 |
| 84.36 | 8 |
| 88.35 | 15 |

No. 7
Structure and calculated powder XRD pattern of Dy2SnH (DFT lattice parameters and positions (GGA-PBE); Cu Kα).
Lines closer than 0.1° are merged.

Structure:
Unit cell a=4.507 b=4.507 c=8.487 alpha=90.00 beta=90.00 gamma=90.00
Element x y z (fractional)
Dy1 0.250 0.250 0.151
Dy2 0.250 0.750 0.500
Dy3 0.750 0.250 0.500
Dy4 0.750 0.750 0.849
Sn1 0.250 0.250 0.781
Sn2 0.750 0.750 0.219
H1 0.250 0.250 0.419
H2 0.750 0.750 0.581

Largest 10 diffraction maxima, in order of rising 2θ, 2θ from 10° to 90°:
| 2θ/deg | Rel. int. |
| --- | --- |
| 29.95 | 100 |
| 31.63 | 41 |
| 35.22 | 89 |
| 37.54 | 16 |
| 40.01 | 59 |
| 51.87 | 42 |
| 57.87 | 20 |
| 66.52 | 21 |
| 67.46 | 19 |
| 69.60 | 30 |

No. 8
Structure and calculated powder XRD pattern of LaY2Er3 (DFT lattice parameters and positions (GGA-PBE); Cu Kα).
Lines closer than 0.1° are merged.

Structure:
Unit cell a=6.550 b=6.550 c=11.509 alpha=90.00 beta=90.00 gamma=127.70
Element x y z (fractional)
La1 0.174 0.826 0.750
La2 0.826 0.174 0.250
Y1 0.000 0.000 0.000
Y2 0.000 0.000 0.500
Y3 0.485 0.515 0.750
Y4 0.515 0.485 0.250
Er1 0.153 0.847 0.250
Er2 0.332 0.668 0.016
Er3 0.332 0.668 0.484
Er4 0.668 0.332 0.516
Er5 0.668 0.332 0.984
Er6 0.847 0.153 0.750

Largest 10 diffraction maxima, in order of rising 2θ, 2θ from 10° to 90°:
| 2θ/deg | Rel. int. |
| --- | --- |
| 30.98 | 28 |
| 31.08 | 26 |
| 31.67 | 100 |
| 44.46 | 20 |
| 46.33 | 8 |
| 55.54 | 20 |
| 55.67 | 18 |
| 56.81 | 17 |
| 66.15 | 10 |
| 73.82 | 8 |

No. 9
Structure and calculated powder XRD pattern of PrInAg2S4 (DFT lattice parameters and positions (GGA-PBE); Cu Kα).
Lines closer than 0.1° are merged.

Structure:
Unit cell a=7.909 b=7.909 c=7.698 alpha=119.02 beta=119.02 gamma=87.04
Element x y z (fractional)
Pr1 0.000 0.500 0.000
Pr2 0.500 0.000 0.500
In1 0.000 0.000 0.000
In2 0.000 0.000 0.500
Ag1 0.000 0.500 0.500
Ag2 0.500 0.000 0.000
Ag3 0.500 0.500 0.000
Ag4 0.500 0.500 0.500
S1 0.200 0.221 0.460
S2 0.221 0.200 0.960
S3 0.264 0.735 0.498
S4 0.265 0.736 0.002
S5 0.735 0.264 0.998
S6 0.736 0.265 0.502
S7 0.779 0.800 0.040
S8 0.800 0.779 0.540

Largest 10 diffraction maxima, in order of rising 2θ, 2θ from 10° to 90°:
| 2θ/deg | Rel. int. |
| --- | --- |
| 26.56 | 52 |
| 28.40 | 42 |
| 31.31 | 100 |
| 32.89 | 44 |
| 42.41 | 20 |
| 46.05 | 64 |
| 47.23 | 16 |
| 54.69 | 18 |
| 58.75 | 15 |
| 77.69 | 16 |

No. 10
Structure and calculated powder XRD pattern of In7Hg6Bi (DFT lattice parameters and positions (GGA-PBE); Cu Kα).
Lines closer than 0.1° are merged.

Structure:
Unit cell a=6.988 b=7.423 c=8.293 alpha=94.53 beta=110.43 gamma=105.42
Element x y z (fractional)
In1 0.000 0.000 0.000
In2 0.010 0.512 0.018
In3 0.279 0.786 0.843
In4 0.303 0.297 0.872
In5 0.444 0.936 0.285
In6 0.577 0.567 0.698
In7 0.587 0.079 0.712
Hg1 0.148 0.656 0.427
Hg2 0.452 0.444 0.286
Hg3 0.709 0.722 0.130
Hg4 0.718 0.220 0.141
Hg5 0.856 0.862 0.566
Hg6 0.877 0.368 0.581
Bi1 0.156 0.153 0.429

Largest 10 diffraction maxima, in order of rising 2θ, 2θ from 10° to 90°:
| 2θ/deg | Rel. int. |
| --- | --- |
| 31.30 | 53 |
| 31.89 | 100 |
| 33.87 | 43 |
| 36.00 | 36 |
| 39.60 | 28 |
| 40.47 | 26 |
| 49.74 | 15 |
| 50.47 | 14 |
| 59.36 | 17 |
| 66.67 | 12 |

No. 11
Structure and calculated powder XRD pattern of NdHo3Tm4 (DFT lattice parameters and positions (GGA-PBE); Cu Kα).
Lines closer than 0.1° are merged.

Structure:
Unit cell a=11.173 b=7.216 c=6.229 alpha=90.00 beta=90.00 gamma=90.00
Element x y z (fractional)
Nd1 0.000 0.126 0.000
Nd2 0.500 0.874 0.500
Ho1 0.000 0.873 0.500
Ho2 0.250 0.127 0.334
Ho3 0.250 0.873 0.834
Ho4 0.500 0.127 0.000
Ho5 0.750 0.127 0.334
Ho6 0.750 0.873 0.834
Tm1 0.000 0.377 0.501
Tm2 0.000 0.623 0.001
Tm3 0.248 0.623 0.334
Tm4 0.252 0.377 0.834
Tm5 0.500 0.377 0.501
Tm6 0.500 0.623 0.001
Tm7 0.748 0.377 0.834
Tm8 0.752 0.623 0.334

Largest 10 diffraction maxima, in order of rising 2θ, 2θ from 10° to 90°:
| 2θ/deg | Rel. int. |
| --- | --- |
| 28.61 | 24 |
| 32.04 | 24 |
| 32.88 | 100 |
| 43.49 | 16 |
| 50.60 | 7 |
| 50.73 | 13 |
| 57.65 | 20 |
| 61.16 | 8 |
| 61.27 | 15 |
| 61.70 | 11 |

No. 12
Structure and calculated powder XRD pattern of Nd2Sm4Y7 (DFT lattice parameters and positions (GGA-PBE); Cu Kα).
Lines closer than 0.1° are merged.

Structure:
Unit cell a=6.244 b=6.247 c=11.393 alpha=89.98 beta=79.59 gamma=80.39
Element x y z (fractional)
Nd1 0.154 0.308 0.383
Nd2 0.846 0.692 0.617
Sm1 0.307 0.615 0.770
Sm2 0.462 0.923 0.154
Sm3 0.538 0.077 0.846
Sm4 0.693 0.385 0.230
Y1 0.000 0.000 0.000
Y2 0.078 0.153 0.693
Y3 0.231 0.461 0.076
Y4 0.386 0.769 0.461
Y5 0.614 0.231 0.539
Y6 0.769 0.539 0.924
Y7 0.922 0.847 0.307

Largest 10 diffraction maxima, in order of rising 2θ, 2θ from 10° to 90°:
| 2θ/deg | Rel. int. |
| --- | --- |
| 30.35 | 100 |
| 30.38 | 99 |
| 35.20 | 100 |
| 50.64 | 71 |
| 60.18 | 62 |
| 60.25 | 21 |
| 63.14 | 12 |
| 63.21 | 12 |
| 82.42 | 22 |
| 85.08 | 18 |